Record 1
# LiCoHSO5
Computed XRD peak list, Cu Kα X-rays. Input: the GGA+U geometry in the Materials Project.
Neutral-atom scattering factors, no anomalous dispersion.

Main lines, in order of rising 2θ (5 to 70 degrees two-theta):
- 2θ = 9.6°, I = 100, (1 0 0)
- 2θ = 20.7°, I = 20, (0 1 1)
- 2θ = 29.1°, I = 47, (1 1 -2)
- 2θ = 30.4°, I = 21, (0 1 2)
- 2θ = 31.4°, I = 21, (3 0 -2)
- 2θ = 33.4°, I = 20, (3 1 0)

Cell and atoms:
Unit cell a=9.844 b=5.460 c=7.432 alpha=90.00 beta=110.19 gamma=90.00
Space group P2_1/c (No. 14)
Inequivalent atoms, fractional coordinates:
Li1 0.086 0.060 0.315 x4
Co1 0.449 0.231 0.380 x4
H1 0.335 0.009 0.602 x4
S1 0.215 0.559 0.511 x4
O1 0.098 0.082 0.866 x4
O2 0.169 0.684 0.016 x4
O3 0.246 0.057 0.203 x4
O4 0.351 0.552 0.460 x4
O5 0.434 0.072 0.633 x4

---

Record 2
# MgCo2H2O4
Computed XRD peak list, Cu Kα X-rays. Input: the GGA+U geometry in the Materials Project.
Neutral-atom scattering factors, no anomalous dispersion.

Main lines, in order of rising 2θ (5 to 70 degrees two-theta):
- 2θ = 18.9°, I = 63, (2 0 0)
- 2θ = 28.5°, I = 51, (3 0 0)
- 2θ = 36.9°, I = 54, (2 0 2)
- 2θ = 37.6°, I = 100, (2 1 1)
- 2θ = 43.5°, I = 43, (3 1 1)
- 2θ = 56.4°, I = 42, (0 1 3)

Cell and atoms:
Unit cell a=9.397 b=3.182 c=5.704 alpha=90.00 beta=90.00 gamma=90.00
Space group Amm2 (No. 38)
Inequivalent atoms, fractional coordinates:
Mg1 0.000 0.000 0.000 x2
Co1 0.293 0.000 0.328 x4
H1 0.000 0.000 0.674 x2
H2 0.500 0.000 0.988 x2
O1 0.126 0.000 0.670 x4
O2 0.370 0.000 0.991 x4

---

Record 3
# MgCo2H2O4
Computed XRD peak list, Cu Kα X-rays. Input: the GGA+U geometry in the Materials Project.
Neutral-atom scattering factors, no anomalous dispersion.

Main lines, in order of rising 2θ (5 to 70 degrees two-theta):
- 2θ = 26.8°, I = 100, (0 3 0)
- 2θ = 31.1°, I = 62, (0 0 1)
- 2θ = 31.4°, I = 62, (1 0 0)
- 2θ = 31.5°, I = 57, (1 0 -1)
- 2θ = 36.4°, I = 45, (1 2 -1)
- 2θ = 56.2°, I = 52, (2 0 -1)

Cell and atoms:
Unit cell a=3.274 b=9.988 c=3.302 alpha=90.00 beta=119.48 gamma=90.00
Space group Pm (No. 6)
Inequivalent atoms, fractional coordinates:
Mg1 0.000 0.000 0.000 x1
Co1 0.306 0.313 0.686 x2
H1 0.330 0.000 0.661 x1
H2 0.975 0.500 0.025 x1
O1 0.337 0.116 0.665 x2
O2 0.974 0.377 0.024 x2

---

Record 4
# CoMoH2SeO7
Computed XRD peak list, Cu Kα X-rays. Input: the GGA+U geometry in the Materials Project.
Neutral-atom scattering factors, no anomalous dispersion.

Main lines, in order of rising 2θ (5 to 70 degrees two-theta):
- 2θ = 10.0°, I = 100, (0 0 1)
- 2θ = 26.8°, I = 74, (-1 1 2)
- 2θ = 27.1°, I = 64, (1 1 0)
- 2θ = 27.6°, I = 43, (1 1 -1)
- 2θ = 30.1°, I = 76, (1 -2 1)
- 2θ = 32.5°, I = 40, (0 1 -3)

Cell and atoms:
Unit cell a=5.064 b=6.714 c=8.958 alpha=91.72 beta=96.92 gamma=109.36
Space group P-1 (No. 2)
Inequivalent atoms, fractional coordinates:
Co1 0.000 0.000 0.000 x1
Co2 0.500 0.500 0.500 x1
Mo1 0.207 0.908 0.603 x2
H1 0.378 0.355 0.139 x2
H2 0.467 0.750 0.980 x2
Se1 0.146 0.686 0.242 x2
O1 0.145 0.961 0.787 x2
O2 0.162 0.190 0.510 x2
O3 0.209 0.774 0.070 x2
O4 0.268 0.661 0.603 x2
O5 0.344 0.525 0.277 x2
O6 0.355 0.241 0.061 x2
O7 0.370 0.915 0.371 x2

---

Record 5
# CoPH6NO5
Computed XRD peak list, Cu Kα X-rays. Input: the GGA+U geometry in the Materials Project.
Neutral-atom scattering factors, no anomalous dispersion.

Main lines, in order of rising 2θ (5 to 70 degrees two-theta):
- 2θ = 9.9°, I = 100, (1 0 0)
- 2θ = 21.0°, I = 13, (1 0 -2)
- 2θ = 26.3°, I = 12, (1 1 2)
- 2θ = 31.5°, I = 57, (0 2 0)
- 2θ = 38.9°, I = 10, (3 1 2)
- 2θ = 56.2°, I = 9, (2 3 2)

Cell and atoms:
Unit cell a=8.942 b=5.676 c=9.614 alpha=90.00 beta=90.03 gamma=90.00
Space group Pm (No. 6)
Inequivalent atoms, fractional coordinates:
Co1 0.000 0.000 0.000 x1
Co2 0.004 0.000 0.497 x1
Co3 0.045 0.500 0.746 x1
Co4 0.049 0.500 0.251 x1
P1 0.216 0.000 0.215 x1
P2 0.217 0.000 0.715 x1
P3 0.831 0.500 0.465 x1
P4 0.833 0.500 0.965 x1
H1 0.211 0.361 0.959 x2
H2 0.212 0.361 0.464 x2
H3 0.435 0.350 0.689 x2
H4 0.436 0.350 0.187 x2
H5 0.477 0.000 0.024 x1
H6 0.478 0.000 0.525 x1
H7 0.482 0.000 0.345 x1
H8 0.483 0.000 0.844 x1
H9 0.566 0.500 0.595 x1
H10 0.567 0.500 0.094 x1
H11 0.571 0.500 0.274 x1
H12 0.571 0.500 0.774 x1
H13 0.613 0.150 0.438 x2
H14 0.613 0.150 0.938 x2
H15 0.837 0.138 0.710 x2
H16 0.837 0.139 0.213 x2
N1 0.501 0.500 0.186 x1
N2 0.501 0.500 0.687 x1
N3 0.547 0.000 0.436 x1
N4 0.548 0.000 0.936 x1
O1 0.141 0.219 0.142 x2
O2 0.142 0.219 0.642 x2
O3 0.188 0.000 0.872 x1
O4 0.189 0.000 0.372 x1
O5 0.225 0.500 0.403 x1
O6 0.226 0.500 0.898 x1
O7 0.388 0.000 0.187 x1
O8 0.389 0.000 0.688 x1
O9 0.659 0.500 0.437 x1
O10 0.662 0.500 0.938 x1
O11 0.822 0.000 0.649 x1
O12 0.823 0.000 0.152 x1
O13 0.858 0.500 0.623 x1
O14 0.862 0.500 0.122 x1
O15 0.906 0.281 0.392 x2
O16 0.908 0.281 0.891 x2